# 1
Calculated X-ray diffraction stick pattern of Mg3Zn for λ = 1.5418 Å (Cu Kα), from a DFT-relaxed cell (PBE, OQMD).
No peak broadening, texture or thermal motion is included.

Structure:
Cell lengths 4.8793, 6.0876, 5.3949 Å; angles 90.00, 90.00, 90.00 degrees
Space group Pmmn (No. 59, origin choice 2)
Unique sites:
1 Mg 0.2500 0.0004 0.1659 [4 per cell]
2 Mg 0.2500 0.2500 0.6441 [2 per cell]
3 Zn 0.2500 0.7500 0.6788 [2 per cell]

Main lines, sorted by position (15 to 90 degrees two-theta):
| index | two_theta | I_rel |
| --- | --- | --- |
| 0 1 1 | 22.0 | 25 |
| 1 1 0 | 23.4 | 23 |
| 1 0 1 | 24.6 | 16 |
| 0 2 1 | 33.8 | 23 |
| 2 0 0 | 36.8 | 38 |
| 1 0 2 | 38.1 | 49 |
| 1 2 1 | 38.7 | 100 |
| 0 2 3 | 59.7 | 16 |
| 3 2 1 | 67.6 | 18 |
| 2 2 3 | 72.3 | 18 |



# 2
Calculated X-ray diffraction stick pattern of La2Sm2CCl5 for λ = 1.5418 Å (Cu Kα), from a DFT-relaxed cell (PBE, OQMD).
No peak broadening, texture or thermal motion is included.

Structure:
Cell lengths 17.7128, 3.9211, 8.3278 Å; angles 90.00, 103.87, 90.00 degrees
Space group C2/m (No. 12)
Unique sites:
1 La 0.0018 0.0000 0.2848 [4 per cell]
2 Sm 0.1442 0.5000 0.5810 [4 per cell]
3 C 0.0000 0.5000 0.5000 [2 per cell]
4 Cl 0.0000 0.5000 0.0000 [2 per cell]
5 Cl 0.1678 0.0000 0.8257 [4 per cell]
6 Cl 0.1745 0.0000 0.3573 [4 per cell]

Main lines, sorted by position (15 to 90 degrees two-theta):
| index | two_theta | I_rel |
| --- | --- | --- |
| 4 0 -1 | 20.9 | 20 |
| 3 1 0 | 27.6 | 31 |
| 6 0 0 | 31.2 | 67 |
| 1 1 -2 | 31.3 | 100 |
| 5 1 0 | 34.7 | 26 |
| 1 1 -3 | 39.9 | 16 |
| 7 1 -2 | 44.7 | 26 |
| 5 1 2 | 44.9 | 27 |
| 0 2 0 | 46.3 | 18 |
| 5 1 3 | 53.3 | 18 |



# 3
Calculated X-ray diffraction stick pattern of YEr2Si4Pd4 for λ = 1.5418 Å (Cu Kα), from a DFT-relaxed cell (PBE, OQMD).
No peak broadening, texture or thermal motion is included.

Structure:
Cell lengths 4.1030, 6.9625, 13.6230 Å; angles 90.00, 90.00, 90.00 degrees
Space group Immm (No. 71)
Unique sites:
1 Y 0.0000 0.0000 0.0000 [2 per cell]
2 Er 0.0000 0.5000 0.1247 [4 per cell]
3 Si 0.0000 0.0000 0.2197 [4 per cell]
4 Si 0.0000 0.1805 0.5000 [4 per cell]
5 Pd 0.0000 0.2985 0.3252 [8 per cell]

Main lines, sorted by position (15 to 90 degrees two-theta):
| index | two_theta | I_rel |
| --- | --- | --- |
| 1 1 0 | 25.2 | 32 |
| 1 2 1 | 34.4 | 100 |
| 0 1 5 | 35.4 | 31 |
| 1 1 4 | 36.6 | 82 |
| 1 2 3 | 39.3 | 64 |
| 0 0 6 | 39.7 | 42 |
| 0 3 3 | 43.8 | 42 |
| 2 0 0 | 44.1 | 41 |
| 2 3 3 | 63.9 | 27 |
| 2 2 8 | 77.9 | 22 |



# 4
Calculated X-ray diffraction stick pattern of NaPa2O4 for λ = 1.5418 Å (Cu Kα), from a DFT-relaxed cell (PBE, OQMD).
No peak broadening, texture or thermal motion is included.

Structure:
Cell lengths 9.9046, 9.9046, 9.9046 Å; angles 90.00, 90.00, 90.00 degrees
Space group Fd-3m (No. 227, origin choice 2)
Unique sites:
1 Na 0.1250 0.1250 0.1250 [8 per cell]
2 Pa 0.0000 0.0000 0.5000 [16 per cell]
3 O 0.0137 0.0137 0.7363 [32 per cell]

Main lines, sorted by position (15 to 90 degrees two-theta):
| index | two_theta | I_rel |
| --- | --- | --- |
| 1 1 1 | 15.5 | 100 |
| 3 1 1 | 29.9 | 78 |
| 2 2 2 | 31.3 | 60 |
| 4 0 0 | 36.3 | 49 |
| 3 3 1 | 39.7 | 25 |
| 5 1 1 | 47.7 | 32 |
| 4 4 0 | 52.2 | 41 |
| 5 3 1 | 54.8 | 24 |
| 6 2 2 | 62.2 | 30 |
| 5 5 3 | 73.4 | 18 |



# 5
Calculated X-ray diffraction stick pattern of Nb4AsSN2 for λ = 1.5418 Å (Cu Kα), from a DFT-relaxed cell (PBE, OQMD).
No peak broadening, texture or thermal motion is included.

Structure:
Cell lengths 3.3173, 3.3173, 11.7815 Å; angles 90.00, 90.00, 120.00 degrees
Space group P-6m2 (No. 187)
Unique sites:
1 Nb 0.0000 0.0000 0.1534 [2 per cell]
2 Nb 0.3333 0.6667 0.3384 [2 per cell]
3 As 0.0000 0.0000 0.5000 [1 per cell]
4 S 0.3333 0.6667 0.0000 [1 per cell]
5 N 0.6667 0.3333 0.2453 [2 per cell]

Main lines, sorted by position (15 to 90 degrees two-theta):
| index | two_theta | I_rel |
| --- | --- | --- |
| 0 0 2 | 15.0 | 5 |
| 1 0 0 | 31.1 | 26 |
| 1 0 1 | 32.1 | 7 |
| 1 0 3 | 38.8 | 100 |
| 0 0 6 | 46.2 | 11 |
| 1 1 0 | 55.4 | 26 |
| 1 0 6 | 56.8 | 12 |
| 2 0 3 | 69.7 | 17 |
| 1 1 6 | 75.0 | 15 |
| 1 0 9 | 80.7 | 9 |



# 6
Calculated X-ray diffraction stick pattern of SmScTa for λ = 1.5418 Å (Cu Kα), from a DFT-relaxed cell (PBE, OQMD).
No peak broadening, texture or thermal motion is included.

Structure:
Cell lengths 6.8931, 6.8931, 6.8931 Å; angles 90.00, 90.00, 90.00 degrees
Space group F-43m (No. 216)
Unique sites:
1 Sm 0.0000 0.0000 0.0000 [4 per cell]
2 Sc 0.2500 0.2500 0.2500 [4 per cell]
3 Ta 0.0000 0.0000 0.5000 [4 per cell]

Main lines, sorted by position (15 to 90 degrees two-theta):
| index | two_theta | I_rel |
| --- | --- | --- |
| 1 1 1 | 22.3 | 5 |
| 2 0 0 | 25.9 | 72 |
| 2 2 0 | 36.9 | 100 |
| 3 1 1 | 43.5 | 2 |
| 2 2 2 | 45.6 | 22 |
| 4 0 0 | 53.1 | 17 |
| 4 2 0 | 60.0 | 29 |
| 4 2 2 | 66.4 | 35 |
| 4 4 0 | 78.5 | 11 |
| 6 0 0 | 84.3 | 14 |



# 7
Calculated X-ray diffraction stick pattern of Ge2Sb2Os3 for λ = 1.5418 Å (Cu Kα), from a DFT-relaxed cell (PBE, OQMD).
No peak broadening, texture or thermal motion is included.

Structure:
Cell lengths 4.3890, 4.3890, 22.3115 Å; angles 90.00, 90.00, 120.00 degrees
Space group R3m (No. 160, hexagonal axes)
Unique sites:
1 Ge 0.0000 0.0000 0.0000 [3 per cell]
2 Ge 0.0000 0.0000 0.4932 [3 per cell]
3 Sb 0.0000 0.0000 0.2410 [3 per cell]
4 Sb 0.0000 0.0000 0.7512 [3 per cell]
5 Os 0.0000 0.0000 0.3678 [3 per cell]
6 Os 0.0000 0.0000 0.6229 [3 per cell]
7 Os 0.0000 0.0000 0.8742 [3 per cell]

Main lines, sorted by position (15 to 90 degrees two-theta):
| index | two_theta | I_rel |
| --- | --- | --- |
| 1 0 1 | 23.7 | 13 |
| 0 1 2 | 24.7 | 17 |
| 1 0 7 | 36.8 | 13 |
| 0 1 8 | 40.1 | 100 |
| 1 1 0 | 41.1 | 96 |
| 2 0 8 | 58.8 | 33 |
| 1 0 16 | 72.1 | 20 |
| 1 2 8 | 74.3 | 33 |
| 3 0 0 | 75.0 | 16 |
| 2 2 0 | 89.3 | 11 |



# 8
Calculated X-ray diffraction stick pattern of HgAs for λ = 1.5418 Å (Cu Kα), from a DFT-relaxed cell (PBE, OQMD).
No peak broadening, texture or thermal motion is included.

Structure:
Cell lengths 5.6305, 4.6714, 6.8472 Å; angles 90.00, 90.00, 90.00 degrees
Space group Pmma (No. 51)
Unique sites:
1 Hg 0.0000 0.0000 0.0000 [2 per cell]
2 Hg 0.2500 0.5000 0.2498 [2 per cell]
3 As 0.2500 0.0000 0.5280 [2 per cell]
4 As 0.2500 0.5000 0.7260 [2 per cell]

Main lines, sorted by position (15 to 90 degrees two-theta):
| index | two_theta | I_rel |
| --- | --- | --- |
| 1 1 1 | 28.0 | 18 |
| 0 1 2 | 32.4 | 100 |
| 2 0 1 | 34.4 | 24 |
| 2 1 0 | 37.3 | 37 |
| 0 2 0 | 38.5 | 32 |
| 2 1 1 | 39.6 | 27 |
| 2 0 2 | 41.5 | 28 |
| 2 2 1 | 52.6 | 14 |
| 2 2 2 | 57.9 | 21 |
| 4 1 2 | 75.9 | 18 |



Copy entry 2 word for word.
Calculated X-ray diffraction stick pattern of La2Sm2CCl5 for λ = 1.5418 Å (Cu Kα), from a DFT-relaxed cell (PBE, OQMD).
No peak broadening, texture or thermal motion is included.

Structure:
Cell lengths 17.7128, 3.9211, 8.3278 Å; angles 90.00, 103.87, 90.00 degrees
Space group C2/m (No. 12)
Unique sites:
1 La 0.0018 0.0000 0.2848 [4 per cell]
2 Sm 0.1442 0.5000 0.5810 [4 per cell]
3 C 0.0000 0.5000 0.5000 [2 per cell]
4 Cl 0.0000 0.5000 0.0000 [2 per cell]
5 Cl 0.1678 0.0000 0.8257 [4 per cell]
6 Cl 0.1745 0.0000 0.3573 [4 per cell]

Main lines, sorted by position (15 to 90 degrees two-theta):
| index | two_theta | I_rel |
| --- | --- | --- |
| 4 0 -1 | 20.9 | 20 |
| 3 1 0 | 27.6 | 31 |
| 6 0 0 | 31.2 | 67 |
| 1 1 -2 | 31.3 | 100 |
| 5 1 0 | 34.7 | 26 |
| 1 1 -3 | 39.9 | 16 |
| 7 1 -2 | 44.7 | 26 |
| 5 1 2 | 44.9 | 27 |
| 0 2 0 | 46.3 | 18 |
| 5 1 3 | 53.3 | 18 |